Record 1
The following is a theoretical powder diffractogram of TmTl2F6. It was derived from a crystal structure in Alexandria, relaxed with PBE, using CuKα.
Peak positions follow from Bragg's law for the DFT cell and can differ from measured ones.

Structure:
Cell: 4.956 6.218 6.219 Å, 60.06 90.00 89.95°
Fractional coordinates of all 9 atoms:
Tm (0.000, 0.000, 0.000)
Tl (0.498, 0.667, 0.666)
Tl (0.502, 0.333, 0.334)
F (0.238, 0.002, 0.290)
F (0.238, 0.290, 0.709)
F (0.238, 0.708, 0.001)
F (0.762, 0.292, 0.999)
F (0.762, 0.710, 0.291)
F (0.762, 0.998, 0.710)

Principal peaks in the range 10 to 80 degrees two-theta, sorted by position:
| d [Å] | Position (°2θ) | I/Imax |
| --- | --- | --- |
| 3.647 | 24.41 | 100.0 |
| 3.110 | 28.70 | 63.7 |
| 2.634 | 34.03 | 20.4 |
| 2.366 | 38.02 | 31.3 |
| 1.938 | 46.88 | 49.6 |
| 1.883 | 48.33 | 32.5 |
| 1.796 | 50.85 | 21.8 |
| 1.454 | 64.04 | 12.6 |

Record 2
The following is a theoretical powder diffractogram of PmDy3Er7. It was derived from a crystal structure in Alexandria, relaxed with PBE, using CuKα.
Peak positions follow from Bragg's law for the DFT cell and can differ from measured ones.

Structure:
Cell: 8.357 8.357 5.747 Å, 110.05 110.05 83.41°
Fractional coordinates of all 11 atoms:
Pm (0.000, 0.000, 0.000)
Dy (0.293, 0.707, 0.500)
Dy (0.500, 0.500, 0.000)
Dy (0.707, 0.293, 0.500)
Er (0.000, 0.000, 0.500)
Er (0.098, 0.486, 0.792)
Er (0.294, 0.294, 0.295)
Er (0.486, 0.098, 0.792)
Er (0.514, 0.902, 0.208)
Er (0.706, 0.706, 0.705)
Er (0.902, 0.514, 0.208)

Principal peaks in the range 10 to 80 degrees two-theta, sorted by position:
| d [Å] | Position (°2θ) | I/Imax |
| --- | --- | --- |
| 3.510 | 25.37 | 16.8 |
| 3.112 | 28.69 | 12.0 |
| 2.873 | 31.13 | 37.9 |
| 2.780 | 32.20 | 12.4 |
| 2.771 | 32.31 | 17.3 |
| 2.714 | 33.00 | 100.0 |
| 1.997 | 45.41 | 16.3 |
| 1.627 | 56.58 | 21.7 |

Copy entry 1 word for word.
The following is a theoretical powder diffractogram of TmTl2F6. It was derived from a crystal structure in Alexandria, relaxed with PBE, using CuKα.
Peak positions follow from Bragg's law for the DFT cell and can differ from measured ones.

Structure:
Cell: 4.956 6.218 6.219 Å, 60.06 90.00 89.95°
Fractional coordinates of all 9 atoms:
Tm (0.000, 0.000, 0.000)
Tl (0.498, 0.667, 0.666)
Tl (0.502, 0.333, 0.334)
F (0.238, 0.002, 0.290)
F (0.238, 0.290, 0.709)
F (0.238, 0.708, 0.001)
F (0.762, 0.292, 0.999)
F (0.762, 0.710, 0.291)
F (0.762, 0.998, 0.710)

Principal peaks in the range 10 to 80 degrees two-theta, sorted by position:
| d [Å] | Position (°2θ) | I/Imax |
| --- | --- | --- |
| 3.647 | 24.41 | 100.0 |
| 3.110 | 28.70 | 63.7 |
| 2.634 | 34.03 | 20.4 |
| 2.366 | 38.02 | 31.3 |
| 1.938 | 46.88 | 49.6 |
| 1.883 | 48.33 | 32.5 |
| 1.796 | 50.85 | 21.8 |
| 1.454 | 64.04 | 12.6 |